Simulated X-ray diffraction stick pattern
Compound: Ce2S2N
Radiation: Cu Kα (weighted mean of Kα1 and Kα2)
Structure: a cell relaxed with PBE
Lines closer than 0.1° are merged.

Structure:
Cell lengths 3.957, 15.059, 7.110 Å; angles 90.00, 90.00, 90.00 degrees
Space group Cmc2_1 (No. 36)
Unique sites:
Ce 0.000 0.053 0.000 (multiplicity 4)
Ce 0.000 0.338 0.894 (multiplicity 4)
S 0.000 0.298 0.510 (multiplicity 4)
S 0.000 0.456 0.195 (multiplicity 4)
N 0.000 0.096 0.329 (multiplicity 4)

Principal peaks in the range 2θ = 15–90°, by angle:
2θ = 25.0°, intensity 67; 2θ = 26.4°, intensity 76; 2θ = 26.8°, intensity 100; 2θ = 28.7°, intensity 98; 2θ = 31.4°, intensity 79; 2θ = 34.4°, intensity 45; 2θ = 38.5°, intensity 85; 2θ = 39.9°, intensity 43



Simulated X-ray diffraction stick pattern
Compound: NdFe2AsN
Radiation: Cu Kα (weighted mean of Kα1 and Kα2)
Structure: a cell relaxed with PBE
Lines closer than 0.1° are merged.

Structure:
Cell lengths 3.790, 10.743, 6.929 Å; angles 90.00, 90.00, 90.00 degrees
Space group Cmcm (No. 63)
Unique sites:
Nd 0.000 0.049 0.250 (multiplicity 4)
Fe 0.000 0.340 0.054 (multiplicity 8)
As 0.000 0.228 0.750 (multiplicity 4)
N 0.000 0.500 0.000 (multiplicity 4)

Principal peaks in the range 2θ = 15–90°, by angle:
2θ = 34.5°, intensity 33; 2θ = 35.9°, intensity 49; 2θ = 36.1°, intensity 100; 2θ = 36.9°, intensity 77; 2θ = 42.6°, intensity 34; 2θ = 48.0°, intensity 30; 2θ = 53.0°, intensity 23; 2θ = 61.3°, intensity 20



Simulated X-ray diffraction stick pattern
Compound: SnH12I6
Radiation: Cu Kα (weighted mean of Kα1 and Kα2)
Structure: a cell relaxed with PBE
Lines closer than 0.1° are merged.

Structure:
Cell lengths 22.3529, 22.3529, 3.0402 Å; angles 90.00, 90.00, 120.00 degrees
Space group R-3 (No. 148, hexagonal axes)
Unique sites:
Sn 0.0000 0.0000 0.0000 (multiplicity 3)
H 0.0323 0.8584 0.2659 (multiplicity 18)
H 0.0646 0.8919 0.3214 (multiplicity 18)
I 0.0220 0.4397 0.5098 (multiplicity 18)

Principal peaks in the range 2θ = 15–90°, by angle:
2θ = 15.9°, intensity 56; 2θ = 21.0°, intensity 20; 2θ = 28.8°, intensity 100; 2θ = 30.8°, intensity 17; 2θ = 33.9°, intensity 31; 2θ = 44.3°, intensity 13; 2θ = 45.1°, intensity 14; 2θ = 51.0°, intensity 16